Al3SiTc2: calculated powder diffractogram (Cu Kα (weighted mean of Kα1 and Kα2)), based on a structure optimized by DFT (PBE).

The 8 most intense peaks (5° ≤ 2θ ≤ 70°), in order of rising 2θ:
d_spacing	I_rel
4.154	398
2.976	603
2.254	650
2.091	1000
1.981	211
1.594	215
1.473	82
1.405	118

Structural model:
a b c (Å): 3.1879 3.1879 8.3076
angles (deg): 90.00 90.00 90.00
Space group P4mm (No. 99)
Unique sites:
Al 0.0000 0.0000 0.0000 x1
Al 0.0000 0.0000 0.3225 x1
Al 0.5000 0.5000 0.8164 x1
Si 0.5000 0.5000 0.4946 x1
Tc 0.0000 0.0000 0.6422 x1
Tc 0.5000 0.5000 0.1626 x1